# Tb2Pm3Sm8
Theoretical powder XRD pattern, Cu Kα. Input: a cell relaxed with PBE.
Neutral-atom scattering factors, no anomalous dispersion.

Crystal structure
a b c (Å): 20.408 7.730 5.753
angles (deg): 90.00 90.05 90.00
Space group C2/m (No. 12)
One atom of each set of equivalent atoms:
Tb 0.241 0.000 0.499 x4
Pm 0.000 0.000 0.500 x2
Pm 0.000 0.289 0.000 x4
Sm 0.108 0.292 0.500 x8
Sm 0.134 0.000 0.000 x4
Sm 0.173 0.500 0.000 x4

Peak list (12 most intense, 10° ≤ 2θ ≤ 90°, sorted by position)
two_theta  Rel. int.  (hkl)
24.63  23  2 2 0
29.21  37  5 1 1
30.53  35  6 0 -1
31.09  45  0 0 2
32.98  100  4 2 -1
35.15  22  8 0 0
40.06  13  2 2 2
47.62  19  8 0 -2
56.52  22  4 2 -3
57.45  11  0 4 2
63.51  11  9 3 2
66.71  10  5 5 1

=====

# Tl6SnHg23
Theoretical powder XRD pattern, Cu Kα. Input: a cell relaxed with PBE.
Neutral-atom scattering factors, no anomalous dispersion.

Crystal structure
a b c (Å): 15.051 15.051 15.051
angles (deg): 90.00 90.00 90.00
Space group Fm-3m (No. 225)
One atom of each set of equivalent atoms:
Tl 0.000 0.000 0.220 x24
Sn 0.000 0.000 0.000 x4
Hg 0.000 0.000 0.500 x4
Hg 0.000 0.250 0.250 x24
Hg 0.120 0.120 0.380 x32
Hg 0.155 0.155 0.155 x32

Peak list (12 most intense, 10° ≤ 2θ ≤ 90°, sorted by position)
two_theta  Rel. int.  (hkl)
29.06  6  4 2 2
30.87  25  3 3 3
33.68  100  4 4 0
35.28  6  5 3 1
46.34  10  5 5 3
48.38  12  8 0 0
58.50  8  9 3 1
60.24  22  8 4 4
61.28  6  9 3 3
63.99  11  7 7 3
70.83  6  8 8 0
86.51  6  9 7 7

=====

# PrNdNiAu
Theoretical powder XRD pattern, Cu Kα. Input: a cell relaxed with PBE.
Neutral-atom scattering factors, no anomalous dispersion.

Crystal structure
a b c (Å): 4.628 3.953 10.857
angles (deg): 90.00 90.00 90.00
Space group Amm2 (No. 38)
One atom of each set of equivalent atoms:
Pr 0.000 0.000 0.000 x2
Nd 0.500 0.000 0.722 x2
Ni 0.000 0.000 0.280 x2
Au 0.500 0.000 0.435 x2

Peak list (12 most intense, 10° ≤ 2θ ≤ 90°, sorted by position)
two_theta  Rel. int.  (hkl)
16.33  17  0 0 2
30.87  100  1 1 1
33.00  23  0 0 4
33.57  30  0 1 3
38.45  26  1 0 4
38.94  98  2 0 0
45.91  19  0 2 0
51.93  16  2 0 4
52.33  17  2 1 3
61.72  16  2 2 0
64.55  13  0 1 7
78.01  16  2 1 7

=====

# La5TlIn2Ir2
Theoretical powder XRD pattern, Cu Kα. Input: a cell relaxed with PBE.
Neutral-atom scattering factors, no anomalous dispersion.

Crystal structure
a b c (Å): 12.451 12.451 3.876
angles (deg): 90.00 90.00 90.00
Space group P4/mbm (No. 127)
One atom of each set of equivalent atoms:
La 0.000 0.500 0.000 x2
La 0.067 0.213 0.000 x8
Tl 0.000 0.000 0.500 x2
In 0.186 0.686 0.500 x4
Ir 0.134 0.366 0.500 x4

Peak list (12 most intense, 10° ≤ 2θ ≤ 90°, sorted by position)
two_theta  Rel. int.  (hkl)
15.92  35  2 1 0
29.58  28  4 1 0
30.46  13  3 3 0
30.73  25  2 2 1
32.15  23  4 2 0
32.41  100  3 1 1
34.79  43  3 2 1
37.04  12  4 0 1
41.01  10  4 4 0
46.88  17  0 0 2
49.84  14  6 0 1
50.42  10  6 1 1

=====

# MgZnCu14
Theoretical powder XRD pattern, Cu Kα. Input: a cell relaxed with PBE.
Neutral-atom scattering factors, no anomalous dispersion.

Crystal structure
a b c (Å): 8.447 5.231 8.988
angles (deg): 90.00 90.00 90.00
Space group Amm2 (No. 38)
One atom of each set of equivalent atoms:
Mg 0.000 0.000 0.000 x2
Zn 0.000 0.000 0.501 x2
Cu 0.000 0.248 0.749 x4
Cu 0.249 0.000 0.332 x4
Cu 0.256 0.000 0.831 x4
Cu 0.257 0.248 0.584 x8
Cu 0.500 0.000 0.166 x2
Cu 0.500 0.000 0.665 x2
Cu 0.500 0.248 0.415 x4

Peak list (12 most intense, 10° ≤ 2θ ≤ 90°, sorted by position)
two_theta  Rel. int.  (hkl)
41.35  40  1 2 2
41.59  20  1 0 4
42.82  51  4 0 0
45.51  100  2 2 2
45.74  48  2 0 4
51.87  20  3 2 2
52.07  10  3 0 4
72.75  19  0 2 6
80.34  16  6 2 2
87.79  11  4 4 0
88.28  22  4 2 6
89.83  12  2 4 4

=====

# NaTl2CoCl6
Theoretical powder XRD pattern, Cu Kα. Input: a cell relaxed with PBE.
Neutral-atom scattering factors, no anomalous dispersion.

Crystal structure
a b c (Å): 7.092 10.027 7.091
angles (deg): 90.00 90.00 90.00
Space group Pmmn (No. 59, origin choice 2)
One atom of each set of equivalent atoms:
Na 0.250 0.250 0.248 x2
Tl 0.250 0.000 0.749 x4
Co 0.250 0.750 0.251 x2
Cl 0.024 0.750 0.025 x4
Cl 0.024 0.750 0.477 x4
Cl 0.250 0.524 0.251 x4

Peak list (12 most intense, 10° ≤ 2θ ≤ 90°, sorted by position)
two_theta  Rel. int.  (hkl)
17.69  33  1 0 1
25.12  100  2 0 0
30.89  61  2 2 0
35.82  54  2 0 2
40.22  22  3 0 1
44.25  44  3 2 1
51.55  35  4 0 0
54.94  12  4 2 0
58.18  23  4 0 2
61.32  23  4 2 2
70.24  25  5 2 1
86.88  15  6 0 2

=====

# Tl6PbSe4
Theoretical powder XRD pattern, Cu Kα. Input: a cell relaxed with PBE.
Neutral-atom scattering factors, no anomalous dispersion.

Crystal structure
a b c (Å): 10.9050 10.9050 7.2046
angles (deg): 90.00 90.00 120.00
Space group P6_3mc (No. 186)
One atom of each set of equivalent atoms:
Tl 0.0559 0.5279 0.0000 x6
Tl 0.1536 0.3071 0.3185 x6
Pb 0.3333 0.6667 0.6332 x2
Se 0.1829 0.3657 0.7646 x6
Se 0.3333 0.6667 0.2264 x2

Peak list (12 most intense, 10° ≤ 2θ ≤ 90°, sorted by position)
two_theta  Rel. int.  (hkl)
22.51  27  2 0 1
26.48  21  1 0 2
27.89  62  2 1 1
29.72  18  1 1 2
31.00  17  3 0 1
31.23  86  2 0 2
32.85  100  2 2 0
45.96  17  4 0 2
49.07  15  3 2 2
49.91  19  5 0 1
59.08  14  3 0 4
74.09  15  5 2 3